Starting from a cell relaxed with GGA-PBE, the powder diffractogram of AcAg4 was calculated for Cu Kα.

Most intense lines, 2θ from 10° to 80°, by angle:
two_theta, I (rel.)
28.69, 21
29.58, 55
32.18, 100
41.06, 57
41.64, 39
51.43, 24
59.48, 16
59.92, 26
69.26, 21
74.66, 13

Atomic structure:
a b c (Å): 6.9658 6.9658 6.9658
angles (deg): 143.22 143.22 53.00
Positions (direct):
Ac  0.0000  0.0000  0.0000
Ag  0.2500  0.7500  0.5000
Ag  0.3905  0.3905  0.0000
Ag  0.6095  0.6095  0.0000
Ag  0.7500  0.2500  0.5000


Starting from a cell relaxed with GGA-PBE, the powder diffractogram of Ac2Ag17 was calculated for Cu Kα.

Most intense lines, 2θ from 10° to 80°, by angle:
two_theta, I (rel.)
26.03, 22
31.73, 38
32.67, 26
36.80, 60
36.97, 100
37.49, 33
37.80, 18
41.49, 36
66.27, 27
67.30, 21

Atomic structure:
a b c (Å): 7.4048 7.4048 7.4048
angles (deg): 82.54 82.54 82.54
Positions (direct):
Ac  0.1600  0.1600  0.1600
Ac  0.8400  0.8400  0.8400
Ag  0.0000  0.5000  0.5000
Ag  0.1518  0.1518  0.6553
Ag  0.1518  0.6553  0.1518
Ag  0.2030  0.5000  0.7970
Ag  0.2030  0.7970  0.5000
Ag  0.3447  0.8482  0.8482
Ag  0.4013  0.4013  0.4013
Ag  0.5000  0.0000  0.5000
Ag  0.5000  0.2030  0.7970
Ag  0.5000  0.5000  0.0000
Ag  0.5000  0.7970  0.2030
Ag  0.5987  0.5987  0.5987
Ag  0.6553  0.1518  0.1518
Ag  0.7970  0.2030  0.5000
Ag  0.7970  0.5000  0.2030
Ag  0.8482  0.3447  0.8482
Ag  0.8482  0.8482  0.3447


Starting from a cell relaxed with GGA-PBE, the powder diffractogram of AcAl2Ag3 was calculated for Cu Kα.

Most intense lines, 2θ from 10° to 80°, by angle:
two_theta, I (rel.)
20.25, 25
30.82, 75
31.39, 100
31.72, 38
32.11, 45
33.36, 21
38.26, 23
43.12, 35
45.76, 24
52.89, 23

Atomic structure:
a b c (Å): 6.9338 6.9338 5.5754
angles (deg): 90.00 90.00 78.45
Positions (direct):
Ac  0.1819  0.8181  0.7500
Ac  0.8181  0.1819  0.2500
Al  0.2906  0.2906  0.0000
Al  0.2906  0.2906  0.5000
Al  0.7094  0.7094  0.0000
Al  0.7094  0.7094  0.5000
Ag  0.0301  0.5955  0.2500
Ag  0.4045  0.9699  0.2500
Ag  0.4402  0.5598  0.2500
Ag  0.5598  0.4402  0.7500
Ag  0.5955  0.0301  0.7500
Ag  0.9699  0.4045  0.7500


Starting from a cell relaxed with GGA-PBE, the powder diffractogram of Ac3Al8Ag3 was calculated for Cu Kα.

Most intense lines, 2θ from 10° to 80°, by angle:
two_theta, I (rel.)
17.14, 65
21.10, 34
21.69, 29
27.82, 100
32.43, 61
32.80, 84
32.89, 76
35.17, 22
39.09, 41
51.93, 27

Atomic structure:
a b c (Å): 8.7567 8.7567 10.3457
angles (deg): 126.02 126.02 30.51
Positions (direct):
Ac  0.0000  0.0000  0.0000
Ac  0.3065  0.3065  0.3083
Ac  0.6935  0.6935  0.6917
Al  0.1286  0.1286  0.4097
Al  0.1383  0.1383  0.8632
Al  0.3381  0.3381  0.9685
Al  0.4985  0.4985  0.2861
Al  0.5015  0.5015  0.7139
Al  0.6619  0.6619  0.0315
Al  0.8617  0.8617  0.1368
Al  0.8714  0.8714  0.5903
Ag  0.0000  0.0000  0.5000
Ag  0.3369  0.3369  0.6927
Ag  0.6631  0.6631  0.3073


Starting from a cell relaxed with GGA-PBE, the powder diffractogram of Ac3AlAg3 was calculated for Cu Kα.

Most intense lines, 2θ from 10° to 80°, by angle:
two_theta, I (rel.)
25.12, 30
28.91, 47
29.22, 100
30.04, 64
30.64, 42
33.71, 32
35.16, 33
36.07, 47
38.78, 47
58.84, 23

Atomic structure:
a b c (Å): 6.2829 6.2829 16.2391
angles (deg): 107.99 107.99 43.38
Positions (direct):
Ac  0.0335  0.0335  0.3882
Ac  0.1031  0.1031  0.9185
Ac  0.2528  0.2528  0.2357
Ac  0.7472  0.7472  0.7643
Ac  0.8969  0.8969  0.0815
Ac  0.9665  0.9665  0.6118
Al  0.2522  0.2522  0.5988
Al  0.7478  0.7478  0.4012
Ag  0.3590  0.3590  0.4586
Ag  0.3905  0.3905  0.9217
Ag  0.4531  0.4531  0.7600
Ag  0.5469  0.5469  0.2400
Ag  0.6095  0.6095  0.0783
Ag  0.6410  0.6410  0.5414


Starting from a cell relaxed with GGA-PBE, the powder diffractogram of Ac3AlAg2 was calculated for Cu Kα.

Most intense lines, 2θ from 10° to 80°, by angle:
two_theta, I (rel.)
19.36, 2
22.39, 23
31.87, 100
39.30, 8
45.70, 19
51.46, 11
56.79, 39
66.62, 12
71.25, 6
75.75, 17

Atomic structure:
a b c (Å): 5.6132 5.6132 13.7650
angles (deg): 90.00 90.00 120.00
Positions (direct):
Ac  0.0000  0.0000  0.2493
Ac  0.0000  0.0000  0.7507
Ac  0.3333  0.6667  0.4179
Ac  0.3333  0.6667  0.9174
Ac  0.6667  0.3333  0.0826
Ac  0.6667  0.3333  0.5821
Al  0.3333  0.6667  0.6676
Al  0.6667  0.3333  0.3324
Ag  0.0000  0.0000  0.0000
Ag  0.0000  0.0000  0.5000
Ag  0.3333  0.6667  0.1695
Ag  0.6667  0.3333  0.8305


Starting from a cell relaxed with GGA-PBE, the powder diffractogram of Ac2Al5Ag3 was calculated for Cu Kα.

Most intense lines, 2θ from 10° to 80°, by angle:
two_theta, I (rel.)
15.42, 26
21.35, 32
28.27, 41
30.75, 80
32.36, 100
40.41, 48
44.32, 44
51.62, 38
61.51, 33
68.43, 23

Atomic structure:
a b c (Å): 4.4643 4.4643 11.4956
angles (deg): 90.00 90.00 90.00
Positions (direct):
Ac  0.0000  0.5000  0.2434
Ac  0.5000  0.0000  0.7566
Al  0.0000  0.0000  0.0000
Al  0.0000  0.0000  0.5000
Al  0.0000  0.5000  0.8688
Al  0.5000  0.0000  0.1312
Al  0.5000  0.5000  0.0000
Ag  0.0000  0.5000  0.6425
Ag  0.5000  0.0000  0.3575
Ag  0.5000  0.5000  0.5000


Starting from a cell relaxed with GGA-PBE, the powder diffractogram of Ac4AlAg was calculated for Cu Kα.

Most intense lines, 2θ from 10° to 80°, by angle:
two_theta, I (rel.)
23.15, 30
23.49, 49
26.60, 100
31.49, 85
33.22, 71
37.00, 32
49.27, 30
49.80, 30
52.33, 34
56.31, 34

Atomic structure:
a b c (Å): 9.3212 9.3212 9.3212
angles (deg): 131.32 131.32 71.30
Positions (direct):
Ac  0.0469  0.5469  0.8549
Ac  0.1920  0.0469  0.5000
Ac  0.3080  0.8080  0.8549
Ac  0.4531  0.3080  0.5000
Ac  0.5469  0.6920  0.5000
Ac  0.6920  0.1920  0.1451
Ac  0.8080  0.9531  0.5000
Ac  0.9531  0.4531  0.1451
Al  0.2500  0.2500  0.0000
Al  0.7500  0.7500  0.0000
Ag  0.0000  0.0000  0.0000
Ag  0.5000  0.5000  0.0000


Starting from a cell relaxed with GGA-PBE, the powder diffractogram of Ac3Al6Ag5 was calculated for Cu Kα.

Most intense lines, 2θ from 10° to 80°, by angle:
two_theta, I (rel.)
16.90, 35
27.96, 100
31.78, 23
32.20, 67
32.56, 52
32.85, 57
34.96, 27
39.33, 37
51.95, 32
60.36, 33

Atomic structure:
a b c (Å): 8.7923 8.7923 8.7923
angles (deg): 149.80 106.73 81.26
Positions (direct):
Ac  0.0000  0.0000  0.0000
Ac  0.3014  0.3014  0.0000
Ac  0.6986  0.6986  0.0000
Al  0.1606  0.8775  0.2832
Al  0.2943  0.5000  0.7943
Al  0.4057  0.1225  0.2832
Al  0.5943  0.8775  0.7168
Al  0.7057  0.5000  0.2057
Al  0.8394  0.1225  0.7168
Ag  0.0173  0.6673  0.3500
Ag  0.3173  0.6673  0.6500
Ag  0.5000  0.0000  0.5000
Ag  0.6827  0.3327  0.3500
Ag  0.9827  0.3327  0.6500


Starting from a cell relaxed with GGA-PBE, the powder diffractogram of Ac2AlAg3 was calculated for Cu Kα.

Most intense lines, 2θ from 10° to 80°, by angle:
two_theta, I (rel.)
21.24, 14
30.79, 100
37.08, 33
37.31, 17
45.02, 10
48.84, 9
49.08, 18
59.69, 16
63.02, 9
63.28, 9

Atomic structure:
a b c (Å): 4.0273 4.8206 8.4161
angles (deg): 90.00 90.00 90.00
Positions (direct):
Ac  0.0000  0.0000  0.0000
Ac  0.0000  0.5000  0.4921
Al  0.5000  0.5000  0.8228
Ag  0.5000  0.0000  0.3339
Ag  0.5000  0.0000  0.6752
Ag  0.5000  0.5000  0.1484


Starting from a cell relaxed with GGA-PBE, the powder diffractogram of AcAl2AgAu was calculated for Cu Kα.

Most intense lines, 2θ from 10° to 80°, by angle:
two_theta, I (rel.)
20.92, 40
32.05, 27
32.17, 100
34.21, 17
38.79, 37
51.17, 15
52.66, 20
56.01, 13
59.97, 17
66.07, 29

Atomic structure:
a b c (Å): 6.1857 6.1857 6.1857
angles (deg): 135.91 135.91 64.12
Positions (direct):
Ac  0.0000  0.0000  0.0000
Al  0.3742  0.3742  0.0000
Al  0.6258  0.6258  0.0000
Ag  0.7500  0.2500  0.5000
Au  0.2500  0.7500  0.5000


Starting from a cell relaxed with GGA-PBE, the powder diffractogram of AcAl2AgAu5 was calculated for Cu Kα.

Most intense lines, 2θ from 10° to 80°, by angle:
two_theta, I (rel.)
27.59, 20
34.34, 100
35.09, 9
35.62, 55
50.87, 13
51.25, 20
60.67, 15
63.16, 35
66.33, 8
72.38, 9

Atomic structure:
a b c (Å): 5.0415 5.0415 7.6714
angles (deg): 90.00 90.00 90.00
Positions (direct):
Ac  0.0000  0.0000  0.0000
Al  0.5000  0.5000  0.3336
Al  0.5000  0.5000  0.6664
Ag  0.0000  0.0000  0.5000
Au  0.0000  0.5000  0.2785
Au  0.0000  0.5000  0.7215
Au  0.5000  0.0000  0.2785
Au  0.5000  0.0000  0.7215
Au  0.5000  0.5000  0.0000


Starting from a cell relaxed with GGA-PBE, the powder diffractogram of AcAlGa2Ag was calculated for Cu Kα.

Most intense lines, 2θ from 10° to 80°, by angle:
two_theta, I (rel.)
21.54, 38
28.42, 26
31.41, 78
32.74, 100
40.63, 50
45.56, 37
52.24, 38
58.81, 17
62.67, 28
68.96, 23

Atomic structure:
a b c (Å): 6.3932 6.3932 6.3932
angles (deg): 139.35 139.35 58.83
Positions (direct):
Ac  0.0000  0.0000  0.0000
Al  0.7500  0.2500  0.5000
Ga  0.3846  0.3846  0.0000
Ga  0.6154  0.6154  0.0000
Ag  0.2500  0.7500  0.5000


Starting from a cell relaxed with GGA-PBE, the powder diffractogram of LiAcAlAg2 was calculated for Cu Kα.

Most intense lines, 2θ from 10° to 80°, by angle:
two_theta, I (rel.)
15.33, 32
28.29, 74
30.66, 100
32.33, 40
40.43, 38
44.11, 39
51.58, 47
58.51, 13
61.37, 29
66.24, 13

Atomic structure:
a b c (Å): 6.5854 6.5854 6.5854
angles (deg): 140.40 140.40 57.25
Positions (direct):
Li  0.0000  0.0000  0.0000
Ac  0.7500  0.2500  0.5000
Al  0.5000  0.5000  0.0000
Ag  0.1264  0.6264  0.5000
Ag  0.3736  0.8736  0.5000